1.
Ni2Pd3Pt8: simulated PXRD pattern (Cu Kα, 1.54184 Å), based on the GGA-PBE geometry in Alexandria.
Peak positions follow from Bragg's law for the DFT cell and can differ from measured ones.

Largest 8 diffraction maxima, sorted by position, 2θ = 10–90°:
index	2θ/deg	Rel. int.
0 4 0	24.12	28
2 0 1	33.75	34
1 5 1	39.80	13
2 4 1	41.91	100
0 0 2	44.22	28
4 0 0	52.46	13
4 0 2	70.97	11
2 4 3	79.78	15

Cell and atoms:
```
data_Ni2Pd3Pt8
_cell_length_a 6.9773
_cell_length_b 14.7563
_cell_length_c 4.0964
_cell_angle_alpha 90.00
_cell_angle_beta 90.00
_cell_angle_gamma 90.00
_symmetry_space_group_name_H-M 'C m m m'
_symmetry_Int_Tables_number 65
_symmetry_space_group_name_Hall '-C 2 2'
loop_
_atom_site_label
_atom_site_fract_x
_atom_site_fract_y
_atom_site_fract_z
Ni1 0.0000 0.2383 0.0000
Pd1 0.0000 0.0000 0.0000
Pd2 0.2092 0.5000 0.5000
Pt1 0.0000 0.1366 0.5000
Pt2 0.0000 0.3370 0.5000
Pt3 0.2275 0.3732 0.0000
```

2.
Ni3PdPt2: simulated PXRD pattern (Cu Kα, 1.54184 Å), based on the GGA-PBE geometry in Alexandria.
Peak positions follow from Bragg's law for the DFT cell and can differ from measured ones.

Largest 8 diffraction maxima, sorted by position, 2θ = 10–90°:
index	2θ/deg	Rel. int.
1 1 1	24.31	74
3 1 -1	41.63	66
2 2 -2	42.28	66
1 3 1	42.73	100
2 0 2	42.89	51
1 1 -3	43.02	61
4 2 0	60.74	22
3 3 3	78.44	26

Cell and atoms:
```
data_Ni3PdPt2
_cell_length_a 6.8706
_cell_length_b 7.3391
_cell_length_c 6.6201
_cell_angle_alpha 90.00
_cell_angle_beta 102.57
_cell_angle_gamma 90.00
_symmetry_space_group_name_H-M 'C 1 2/c 1'
_symmetry_Int_Tables_number 15
loop_
_symmetry_equiv_pos_as_xyz
'x,y,z'
'-x,-y,-z'
'-x,y,-z+1/2'
'x,-y,z+1/2'
'x+1/2,y+1/2,z'
'-x+1/2,-y+1/2,-z'
'-x+1/2,y+1/2,-z+1/2'
'x+1/2,-y+1/2,z+1/2'
loop_
_atom_site_label
_atom_site_fract_x
_atom_site_fract_y
_atom_site_fract_z
Ni1 0.0000 0.0805 0.2500
Ni2 0.2337 0.0886 0.0010
Pd1 0.0000 0.4229 0.2500
Pt1 0.1261 0.2394 0.6263
```

3.
Ni7PdPt3: simulated PXRD pattern (Cu Kα, 1.54184 Å), based on the GGA-PBE geometry in Alexandria.
Peak positions follow from Bragg's law for the DFT cell and can differ from measured ones.

Largest 8 diffraction maxima, sorted by position, 2θ = 10–90°:
index	2θ/deg	Rel. int.
1 0 -1	22.27	18
0 2 1	42.00	100
1 2 -2	42.17	49
-2 1 1	42.50	49
2 1 0	48.85	64
1 -3 1	49.55	30
1 4 -1	71.90	20
-2 3 2	72.37	19

Cell and atoms:
```
data_Ni7PdPt3
_cell_length_a 4.5288
_cell_length_b 5.8362
_cell_length_c 5.8925
_cell_angle_alpha 107.29
_cell_angle_beta 104.74
_cell_angle_gamma 96.69
_symmetry_space_group_name_H-M 'P 1'
_symmetry_Int_Tables_number 1
loop_
_symmetry_equiv_pos_as_xyz
'x,y,z'
loop_
_atom_site_label
_atom_site_fract_x
_atom_site_fract_y
_atom_site_fract_z
Ni1 0.0000 0.0000 0.0000
Ni2 0.0908 0.8214 0.3628
Ni3 0.1855 0.6409 0.7249
Ni4 0.3605 0.2755 0.4594
Ni5 0.4573 0.0941 0.8129
Ni6 0.7311 0.5495 0.9130
Ni7 0.8270 0.3676 0.2726
Pd1 0.2755 0.4509 0.0929
Pt1 0.5416 0.9196 0.1697
Pt2 0.6423 0.7244 0.5554
Pt3 0.9124 0.1922 0.6357
```

4.
Ni2PdPt3: simulated PXRD pattern (Cu Kα, 1.54184 Å), based on the GGA-PBE geometry in Alexandria.
Peak positions follow from Bragg's law for the DFT cell and can differ from measured ones.

Largest 8 diffraction maxima, sorted by position, 2θ = 10–90°:
index	2θ/deg	Rel. int.
0 0 3	23.58	16
1 0 0	32.68	16
1 0 3	40.70	100
1 1 0	46.90	35
0 0 6	48.24	13
2 0 0	68.49	11
1 1 6	69.55	18
2 1 3	82.83	25

Cell and atoms:
```
data_Ni2PdPt3
_cell_length_a 2.7399
_cell_length_b 2.7399
_cell_length_c 11.3191
_cell_angle_alpha 90.00
_cell_angle_beta 90.00
_cell_angle_gamma 90.00
_symmetry_space_group_name_H-M 'P 4/m m m'
_symmetry_Int_Tables_number 123
_symmetry_space_group_name_Hall '-P 4 2'
loop_
_atom_site_label
_atom_site_fract_x
_atom_site_fract_y
_atom_site_fract_z
Ni1 0.0000 0.0000 0.1600
Pd1 0.0000 0.0000 0.5000
Pt1 0.5000 0.5000 0.0000
Pt2 0.5000 0.5000 0.3170
```

5.
NiPd6Pt8: simulated PXRD pattern (Cu Kα, 1.54184 Å), based on the GGA-PBE geometry in Alexandria.
Peak positions follow from Bragg's law for the DFT cell and can differ from measured ones.

Largest 8 diffraction maxima, sorted by position, 2θ = 10–90°:
index	2θ/deg	Rel. int.
0 1 1	21.42	23
1 2 0	37.70	25
2 -1 2	41.10	100
3 0 0	42.98	73
2 0 2	43.64	19
2 2 2	60.98	21
5 -4 2	77.49	18
3 0 4	84.05	21

Cell and atoms:
```
data_NiPd6Pt8
_cell_length_a 7.2902
_cell_length_b 7.2902
_cell_length_c 5.5033
_cell_angle_alpha 90.00
_cell_angle_beta 90.00
_cell_angle_gamma 120.00
_symmetry_space_group_name_H-M 'P 3'
_symmetry_Int_Tables_number 143
loop_
_symmetry_equiv_pos_as_xyz
'x,y,z'
'-y,x-y,z'
'-x+y,-x,z'
loop_
_atom_site_label
_atom_site_fract_x
_atom_site_fract_y
_atom_site_fract_z
Ni1 0.0000 0.0000 0.0000
Pd1 0.0159 0.7192 0.7315
Pd2 0.3735 0.0081 0.4859
Pt1 0.2923 0.2867 0.2392
Pt2 0.3333 0.6667 0.2282
Pt3 0.3679 0.0068 0.9908
Pt4 0.6667 0.3333 0.7523
```

6.
Ni8PdPt6: simulated PXRD pattern (Cu Kα, 1.54184 Å), based on the GGA-PBE geometry in Alexandria.
Peak positions follow from Bragg's law for the DFT cell and can differ from measured ones.

Largest 8 diffraction maxima, sorted by position, 2θ = 10–90°:
index	2θ/deg	Rel. int.
2 0 -1	21.24	21
1 3 -1	28.03	34
1 3 1	41.46	100
3 3 -2	41.69	93
0 6 0	48.30	59
4 0 -1	48.56	33
4 6 -1	70.89	21
1 9 1	85.35	24

Cell and atoms:
```
data_Ni8PdPt6
_cell_length_a 8.3673
_cell_length_b 11.3107
_cell_length_c 5.9393
_cell_angle_alpha 90.00
_cell_angle_beta 134.71
_cell_angle_gamma 90.00
_symmetry_space_group_name_H-M 'C 1 2/m 1'
_symmetry_Int_Tables_number 12
loop_
_symmetry_equiv_pos_as_xyz
'x,y,z'
'-x,-y,-z'
'-x,y,-z'
'x,-y,z'
'x+1/2,y+1/2,z'
'-x+1/2,-y+1/2,-z'
'-x+1/2,y+1/2,-z'
'x+1/2,-y+1/2,z'
loop_
_atom_site_label
_atom_site_fract_x
_atom_site_fract_y
_atom_site_fract_z
Ni1 0.0000 0.1679 0.0000
Ni2 0.0964 0.0000 0.3985
Ni3 0.1042 0.3324 0.4057
Pd1 0.0000 0.5000 0.0000
Pt1 0.2004 0.1692 0.7956
Pt2 0.2103 0.5000 0.7943
```